No. 1
This entry pairs a crystal structure of ErTm3 with its computed powder X-ray diffraction pattern. Radiation: Cu Ka. Structure: a DFT-relaxed cell (PBE, the Materials Project).
Intensities are scaled so that the largest is 100.

Structure:
Cell lengths 7.1065, 7.1065, 5.5568 Å; angles 90.00, 90.00, 120.00 degrees
Atoms (fractional coordinates):
Er (0.3333, 0.6667, 0.2500)
Er (0.6667, 0.3333, 0.7500)
Tm (0.1666, 0.3332, 0.7500)
Tm (0.1666, 0.8334, 0.7500)
Tm (0.3332, 0.1666, 0.2500)
Tm (0.6668, 0.8334, 0.7500)
Tm (0.8334, 0.1666, 0.2500)
Tm (0.8334, 0.6668, 0.2500)

Main lines, sorted by position (2θ = 10–90°):
| 2θ (°) | intensity |
| --- | --- |
| 29.02 | 24 |
| 32.22 | 24 |
| 33.28 | 100 |
| 43.90 | 16 |
| 51.43 | 20 |
| 58.13 | 21 |
| 62.00 | 23 |
| 62.65 | 16 |
| 69.88 | 4 |
| 81.29 | 8 |
| 85.25 | 14 |
| 89.57 | 9 |


No. 2
This entry pairs a crystal structure of Er3Tm with its computed powder X-ray diffraction pattern. Radiation: Cu Ka. Structure: a DFT-relaxed cell (PBE, the Materials Project).
Intensities are scaled so that the largest is 100.

Structure:
Cell lengths 7.1445, 7.1445, 5.5759 Å; angles 90.00, 90.00, 120.00 degrees
Atoms (fractional coordinates):
Er (0.1668, 0.3336, 0.2500)
Er (0.1668, 0.8332, 0.2500)
Er (0.3336, 0.1668, 0.7500)
Er (0.6664, 0.8332, 0.2500)
Er (0.8332, 0.1668, 0.7500)
Er (0.8332, 0.6664, 0.7500)
Tm (0.3333, 0.6667, 0.7500)
Tm (0.6667, 0.3333, 0.2500)

Main lines, sorted by position (2θ = 10–90°):
| 2θ (°) | intensity |
| --- | --- |
| 28.86 | 24 |
| 32.10 | 24 |
| 33.12 | 100 |
| 43.71 | 16 |
| 51.14 | 20 |
| 57.88 | 20 |
| 61.67 | 23 |
| 62.29 | 16 |
| 69.49 | 4 |
| 80.84 | 8 |
| 84.70 | 14 |
| 89.10 | 9 |


No. 3
This entry pairs a crystal structure of YEr with its computed powder X-ray diffraction pattern. Radiation: Cu Ka. Structure: a DFT-relaxed cell (PBE, the Materials Project).
Intensities are scaled so that the largest is 100.

Structure:
Cell lengths 3.5876, 3.5876, 5.7432 Å; angles 90.00, 90.00, 120.00 degrees
Atoms (fractional coordinates):
Y (0.0000, 0.0000, 0.0000)
Er (0.3333, 0.6667, 0.5000)

Main lines, sorted by position (2θ = 10–90°):
| 2θ (°) | intensity |
| --- | --- |
| 15.43 | 10 |
| 28.73 | 29 |
| 31.15 | 25 |
| 32.77 | 100 |
| 42.89 | 19 |
| 50.91 | 19 |
| 56.46 | 21 |
| 60.89 | 22 |
| 61.87 | 16 |
| 79.45 | 8 |
| 84.15 | 14 |
| 86.90 | 8 |


No. 4
This entry pairs a crystal structure of YErZn2 with its computed powder X-ray diffraction pattern. Radiation: Cu Ka. Structure: a DFT-relaxed cell (PBE, the Materials Project).
Intensities are scaled so that the largest is 100.

Structure:
Cell lengths 5.0412, 5.0412, 5.0412 Å; angles 60.00, 60.00, 60.00 degrees
Atoms (fractional coordinates):
Y (0.0000, 0.0000, 0.0000)
Er (0.5000, 0.5000, 0.5000)
Zn (0.2500, 0.2500, 0.2500)
Zn (0.7500, 0.7500, 0.7500)

Main lines, sorted by position (2θ = 10–90°):
| 2θ (°) | intensity |
| --- | --- |
| 21.59 | 8 |
| 24.98 | 10 |
| 35.62 | 100 |
| 42.03 | 5 |
| 44.00 | 3 |
| 51.26 | 17 |
| 56.24 | 2 |
| 57.84 | 4 |
| 63.98 | 35 |
| 75.42 | 11 |
| 80.90 | 2 |
| 86.30 | 15 |